Entry 1:
# CsRbMg14O15
Simulated powder diffractogram, Cu Ka. Input: a GGA-PBE-relaxed structure.

Structure:
```
data_CsRbMg14O15
_cell_length_a 4.082
_cell_length_b 8.381
_cell_length_c 11.576
_cell_angle_alpha 90.00
_cell_angle_beta 90.00
_cell_angle_gamma 90.00
_space_group_name_H-M_alt 'P m m 2'
_space_group_IT_number 25
loop_
_space_group_symop_operation_xyz
'x,y,z'
'-x,-y,z'
'-x,y,z'
'x,-y,z'
loop_
_atom_site_label
_atom_site_type_symbol
_atom_site_fract_x
_atom_site_fract_y
_atom_site_fract_z
_atom_site_occupancy
Cs1 Cs 0.000 0.000 0.000 1
Rb1 Rb 0.000 0.500 0.464 1
Mg1 Mg 0.000 0.000 0.429 1
Mg2 Mg 0.000 0.244 0.689 1
Mg3 Mg 0.000 0.309 0.189 1
Mg4 Mg 0.000 0.500 0.889 1
Mg5 Mg 0.500 0.000 0.209 1
Mg6 Mg 0.500 0.000 0.664 1
Mg7 Mg 0.500 0.235 0.856 1
Mg8 Mg 0.500 0.257 0.344 1
Mg9 Mg 0.500 0.500 0.081 1
Mg10 Mg 0.500 0.500 0.704 1
O1 O 0.000 0.000 0.609 1
O2 O 0.000 0.222 0.346 1
O3 O 0.000 0.262 0.865 1
O4 O 0.000 0.500 0.090 1
O5 O 0.000 0.500 0.691 1
O6 O 0.500 0.000 0.378 1
O7 O 0.500 0.000 0.840 1
O8 O 0.500 0.225 0.157 1
O9 O 0.500 0.257 0.671 1
O10 O 0.500 0.500 0.304 1
O11 O 0.500 0.500 0.899 1
```

Most intense lines, 10° ≤ 2θ ≤ 90°, sorted by position:
(0 1 1), d = 6.788 Å, 2θ 13.04, I = 56
(0 1 3), d = 3.501 Å, 2θ 25.44, I = 98
(0 2 2), d = 3.394 Å, 2θ 26.26, I = 100
(1 0 2), d = 3.336 Å, 2θ 26.72, I = 65
(1 1 3), d = 2.659 Å, 2θ 33.70, I = 75
(1 2 2), d = 2.610 Å, 2θ 34.36, I = 99
(1 3 1), d = 2.261 Å, 2θ 39.86, I = 47
(0 4 0), d = 2.095 Å, 2θ 43.18, I = 72
(2 0 0), d = 2.041 Å, 2θ 44.38, I = 78
(2 4 0), d = 1.462 Å, 2θ 63.65, I = 40

Entry 2:
# CdGa4
Simulated powder diffractogram, Cu Ka. Input: a GGA-PBE-relaxed structure.

Structure:
```
data_CdGa4
_cell_length_a 2.956
_cell_length_b 5.303
_cell_length_c 6.543
_cell_angle_alpha 98.66
_cell_angle_beta 98.55
_cell_angle_gamma 94.05
_space_group_name_H-M_alt 'P -1'
_space_group_IT_number 2
loop_
_space_group_symop_operation_xyz
'x,y,z'
'-x,-y,-z'
loop_
_atom_site_label
_atom_site_type_symbol
_atom_site_fract_x
_atom_site_fract_y
_atom_site_fract_z
_atom_site_occupancy
Cd1 Cd 0.000 0.000 0.000 1
Ga1 Ga 0.226 0.798 0.577 1
Ga2 Ga 0.425 0.403 0.794 1
```

Most intense lines, 10° ≤ 2θ ≤ 90°, sorted by position:
(0 2 -1), d = 2.567 Å, 2θ 34.96, I = 100
(0 1 2), d = 2.544 Å, 2θ 35.27, I = 95
(-1 1 1), d = 2.503 Å, 2θ 35.87, I = 48
(1 1 0), d = 2.445 Å, 2θ 36.76, I = 57
(1 -1 1), d = 2.395 Å, 2θ 37.56, I = 51
(1 0 -2), d = 2.347 Å, 2θ 38.34, I = 49
(0 1 -3), d = 2.094 Å, 2θ 43.21, I = 51
(-1 2 1), d = 1.937 Å, 2θ 46.91, I = 27
(0 3 1), d = 1.613 Å, 2θ 57.10, I = 23
(2 0 -1), d = 1.471 Å, 2θ 63.21, I = 24

Entry 3:
# Ho2SiPIr6
Simulated powder diffractogram, Cu Ka. Input: a GGA-PBE-relaxed structure.

Structure:
```
data_Ho2SiPIr6
_cell_length_a 5.385
_cell_length_b 8.556
_cell_length_c 7.929
_cell_angle_alpha 90.00
_cell_angle_beta 90.00
_cell_angle_gamma 90.00
_space_group_name_H-M_alt 'P m m n'
_space_group_IT_number 59
loop_
_space_group_symop_operation_xyz
'x,y,z'
'-x,-y,-z'
'-x+1/2,-y+1/2,z'
'x+1/2,y+1/2,-z'
'x+1/2,-y,-z'
'-x+1/2,y,z'
'-x,y+1/2,-z'
'x,-y+1/2,z'
loop_
_atom_site_label
_atom_site_type_symbol
_atom_site_fract_x
_atom_site_fract_y
_atom_site_fract_z
_atom_site_occupancy
Ho1 Ho 0.250 0.023 0.212 1
Si1 Si 0.250 0.750 0.776 1
P1 P 0.250 0.250 0.739 1
Ir1 Ir 0.003 0.250 0.470 1
Ir2 Ir 0.007 0.750 0.028 1
Ir3 Ir 0.250 0.006 0.602 1
```

Most intense lines, 10° ≤ 2θ ≤ 90°, sorted by position:
(0 0 1), d = 7.929 Å, 2θ 11.16, I = 26
(0 0 2), d = 3.964 Å, 2θ 22.43, I = 24
(1 0 2), d = 3.193 Å, 2θ 27.95, I = 34
(0 2 2), d = 2.908 Å, 2θ 30.75, I = 68
(1 2 2), d = 2.559 Å, 2θ 35.07, I = 37
(2 2 0), d = 2.279 Å, 2θ 39.55, I = 100
(2 0 2), d = 2.227 Å, 2θ 40.50, I = 43
(0 4 0), d = 2.139 Å, 2θ 42.25, I = 46
(1 2 3), d = 2.075 Å, 2θ 43.62, I = 34
(2 4 2), d = 1.543 Å, 2θ 59.96, I = 25

Entry 4:
# TiZnGaCu
Simulated powder diffractogram, Cu Ka. Input: a GGA-PBE-relaxed structure.

Structure:
```
data_TiZnGaCu
_cell_length_a 3.718
_cell_length_b 3.894
_cell_length_c 4.040
_cell_angle_alpha 90.00
_cell_angle_beta 90.00
_cell_angle_gamma 90.00
_space_group_name_H-M_alt 'P m m m'
_space_group_IT_number 47
loop_
_space_group_symop_operation_xyz
'x,y,z'
'-x,-y,-z'
'-x,-y,z'
'x,y,-z'
'x,-y,-z'
'-x,y,z'
'-x,y,-z'
'x,-y,z'
loop_
_atom_site_label
_atom_site_type_symbol
_atom_site_fract_x
_atom_site_fract_y
_atom_site_fract_z
_atom_site_occupancy
Ti1 Ti 0.000 0.000 0.000 1
Zn1 Zn 0.500 0.000 0.500 1
Ga1 Ga 0.500 0.500 0.000 1
Cu1 Cu 0.000 0.500 0.500 1
```

Most intense lines, 10° ≤ 2θ ≤ 90°, sorted by position:
(1 1 1), d = 2.238 Å, 2θ 40.29, I = 100
(0 0 2), d = 2.020 Å, 2θ 44.87, I = 18
(0 2 0), d = 1.947 Å, 2θ 46.66, I = 16
(2 0 0), d = 1.859 Å, 2θ 49.00, I = 14
(0 2 2), d = 1.402 Å, 2θ 66.73, I = 10
(2 0 2), d = 1.368 Å, 2θ 68.61, I = 9
(1 1 3), d = 1.204 Å, 2θ 79.63, I = 12
(1 3 1), d = 1.173 Å, 2θ 82.21, I = 11
(3 1 1), d = 1.134 Å, 2θ 85.70, I = 10
(2 2 2), d = 1.119 Å, 2θ 87.07, I = 10

Entry 5:
# ZnIrRh2
Simulated powder diffractogram, Cu Ka. Input: a GGA-PBE-relaxed structure.

Structure:
```
data_ZnIrRh2
_cell_length_a 2.761
_cell_length_b 2.761
_cell_length_c 7.434
_cell_angle_alpha 90.00
_cell_angle_beta 90.00
_cell_angle_gamma 90.00
_space_group_name_H-M_alt 'P 4/m m m'
_space_group_IT_number 123
_space_group_name_Hall '-P 4 2'
loop_
_atom_site_label
_atom_site_type_symbol
_atom_site_fract_x
_atom_site_fract_y
_atom_site_fract_z
_atom_site_occupancy
Zn1 Zn 0.000 0.000 0.000 1
Ir1 Ir 0.000 0.000 0.500 1
Rh1 Rh 0.500 0.500 0.250 1
```

Most intense lines, 10° ≤ 2θ ≤ 90°, sorted by position:
(0 0 1), d = 7.434 Å, 2θ 11.90, I = 29
(1 0 1), d = 2.589 Å, 2θ 34.65, I = 10
(1 0 2), d = 2.217 Å, 2θ 40.70, I = 100
(1 1 0), d = 1.953 Å, 2θ 46.51, I = 34
(0 0 4), d = 1.859 Å, 2θ 49.01, I = 15
(2 0 0), d = 1.381 Å, 2θ 67.88, I = 11
(1 1 4), d = 1.346 Å, 2θ 69.87, I = 20
(2 1 2), d = 1.172 Å, 2θ 82.26, I = 25
(1 0 6), d = 1.130 Å, 2θ 85.99, I = 11
(2 0 4), d = 1.108 Å, 2θ 88.14, I = 11

Entry 6:
# Ho2Se3O9
Simulated powder diffractogram, Cu Ka. Input: a GGA-PBE-relaxed structure.

Structure:
```
data_Ho2Se3O9
_cell_length_a 8.557
_cell_length_b 13.833
_cell_length_c 6.689
_cell_angle_alpha 90.00
_cell_angle_beta 90.00
_cell_angle_gamma 90.00
_space_group_name_H-M_alt 'P n m a'
_space_group_IT_number 62
loop_
_space_group_symop_operation_xyz
'x,y,z'
'-x,-y,-z'
'-x+1/2,-y,z+1/2'
'x+1/2,y,-z+1/2'
'x+1/2,-y+1/2,-z+1/2'
'-x+1/2,y+1/2,z+1/2'
'-x,y+1/2,-z'
'x,-y+1/2,z'
loop_
_atom_site_label
_atom_site_type_symbol
_atom_site_fract_x
_atom_site_fract_y
_atom_site_fract_z
_atom_site_occupancy
Ho1 Ho 0.224 0.065 0.184 1
Se1 Se 0.018 0.750 0.900 1
Se2 Se 0.056 0.126 0.679 1
O1 O 0.035 0.649 0.749 1
O2 O 0.098 0.045 0.871 1
O3 O 0.106 0.566 0.402 1
O4 O 0.184 0.250 0.090 1
O5 O 0.216 0.097 0.529 1
```

Most intense lines, 10° ≤ 2θ ≤ 90°, sorted by position:
(0 2 0), d = 6.916 Å, 2θ 12.80, I = 43
(2 2 0), d = 3.639 Å, 2θ 24.46, I = 48
(0 0 2), d = 3.344 Å, 2θ 26.65, I = 19
(1 0 2), d = 3.115 Å, 2θ 28.66, I = 27
(1 1 2), d = 3.039 Å, 2θ 29.39, I = 26
(2 3 1), d = 2.840 Å, 2θ 31.50, I = 100
(0 5 1), d = 2.557 Å, 2θ 35.10, I = 29
(4 0 1), d = 2.038 Å, 2θ 44.46, I = 17
(1 3 3), d = 1.955 Å, 2θ 46.46, I = 22
(1 0 4), d = 1.641 Å, 2θ 56.03, I = 32

Entry 7:
# NaTc2H8
Simulated powder diffractogram, Cu Ka. Input: a GGA-PBE-relaxed structure.

Structure:
```
data_NaTc2H8
_cell_length_a 5.393
_cell_length_b 8.669
_cell_length_c 3.476
_cell_angle_alpha 90.00
_cell_angle_beta 90.00
_cell_angle_gamma 90.00
_space_group_name_H-M_alt 'C m m m'
_space_group_IT_number 65
_space_group_name_Hall '-C 2 2'
loop_
_atom_site_label
_atom_site_type_symbol
_atom_site_fract_x
_atom_site_fract_y
_atom_site_fract_z
_atom_site_occupancy
Na1 Na 0.000 0.000 0.000 1
Tc1 Tc 0.000 0.323 0.500 1
H1 H 0.000 0.279 0.000 1
H2 H 0.000 0.500 0.238 1
H3 H 0.172 0.143 0.500 1
```

Most intense lines, 10° ≤ 2θ ≤ 90°, sorted by position:
(1 1 0), d = 4.579 Å, 2θ 19.39, I = 44
(0 2 0), d = 4.334 Å, 2θ 20.49, I = 41
(0 0 1), d = 3.476 Å, 2θ 25.62, I = 79
(1 1 1), d = 2.769 Å, 2θ 32.33, I = 66
(0 2 1), d = 2.712 Å, 2θ 33.03, I = 53
(2 0 0), d = 2.696 Å, 2θ 33.23, I = 64
(1 3 0), d = 2.547 Å, 2θ 35.24, I = 100
(2 0 1), d = 2.131 Å, 2θ 42.43, I = 36
(1 3 1), d = 2.055 Å, 2θ 44.08, I = 64
(2 2 1), d = 1.912 Å, 2θ 47.56, I = 36

Entry 8:
# Sb2TeAu
Simulated powder diffractogram, Cu Ka. Input: a GGA-PBE-relaxed structure.

Structure:
```
data_Sb2TeAu
_cell_length_a 4.2868
_cell_length_b 4.2868
_cell_length_c 20.4428
_cell_angle_alpha 90.00
_cell_angle_beta 90.00
_cell_angle_gamma 120.00
_space_group_name_H-M_alt 'R 3 m'
_space_group_IT_number 160
_space_group_name_Hall 'R 3 -2"'
loop_
_atom_site_label
_atom_site_type_symbol
_atom_site_fract_x
_atom_site_fract_y
_atom_site_fract_z
_atom_site_occupancy
Sb1 Sb 0.0000 0.0000 0.0000 1
Sb2 Sb 0.0000 0.0000 0.2442 1
Te1 Te 0.0000 0.0000 0.7628 1
Au1 Au 0.0000 0.0000 0.5052 1
```

Most intense lines, 10° ≤ 2θ ≤ 90°, sorted by position:
(0 0 3), d = 6.814 Å, 2θ 12.99, I = 10
(1 0 4), d = 3.004 Å, 2θ 29.74, I = 100
(1 1 0), d = 2.143 Å, 2θ 42.16, I = 40
(0 1 8), d = 2.105 Å, 2θ 42.97, I = 34
(0 2 4), d = 1.745 Å, 2θ 52.44, I = 20
(2 0 8), d = 1.502 Å, 2θ 61.77, I = 11
(2 1 4), d = 1.353 Å, 2θ 69.46, I = 18
(1 1 12), d = 1.334 Å, 2θ 70.63, I = 14
(3 0 0), d = 1.238 Å, 2θ 77.07, I = 7
(1 2 8), d = 1.230 Å, 2θ 77.63, I = 12

Entry 9:
# AlAgOs4
Simulated powder diffractogram, Cu Ka. Input: a GGA-PBE-relaxed structure.

Structure:
```
data_AlAgOs4
_cell_length_a 7.313
_cell_length_b 7.313
_cell_length_c 7.313
_cell_angle_alpha 90.00
_cell_angle_beta 90.00
_cell_angle_gamma 90.00
_space_group_name_H-M_alt 'F -4 3 m'
_space_group_IT_number 216
_space_group_name_Hall 'F -4 2 3'
loop_
_atom_site_label
_atom_site_type_symbol
_atom_site_fract_x
_atom_site_fract_y
_atom_site_fract_z
_atom_site_occupancy
Al1 Al 0.000 0.000 0.000 1
Ag1 Ag 0.250 0.250 0.250 1
Os1 Os 0.125 0.125 0.625 1
```

Most intense lines, 10° ≤ 2θ ≤ 90°, sorted by position:
(1 1 1), d = 4.222 Å, 2θ 21.04, I = 63
(3 1 1), d = 2.205 Å, 2θ 40.93, I = 100
(2 2 2), d = 2.111 Å, 2θ 42.84, I = 73
(4 0 0), d = 1.828 Å, 2θ 49.88, I = 24
(3 3 1), d = 1.678 Å, 2θ 54.71, I = 16
(5 1 1), d = 1.407 Å, 2θ 66.43, I = 32
(4 4 0), d = 1.293 Å, 2θ 73.22, I = 32
(5 3 1), d = 1.236 Å, 2θ 77.17, I = 12
(5 3 3), d = 1.115 Å, 2θ 87.46, I = 12
(6 2 2), d = 1.102 Å, 2θ 88.74, I = 29

Entry 10:
# Dy5Tl2Si2
Simulated powder diffractogram, Cu Ka. Input: a GGA-PBE-relaxed structure.

Structure:
```
data_Dy5Tl2Si2
_cell_length_a 15.863
_cell_length_b 7.643
_cell_length_c 7.671
_cell_angle_alpha 90.00
_cell_angle_beta 90.00
_cell_angle_gamma 90.00
_space_group_name_H-M_alt 'C m c e'
_space_group_IT_number 64
_space_group_name_Hall '-C 2ac 2'
loop_
_atom_site_label
_atom_site_type_symbol
_atom_site_fract_x
_atom_site_fract_y
_atom_site_fract_z
_atom_site_occupancy
Dy1 Dy 0.000 0.000 0.000 1
Dy2 Dy 0.124 0.182 0.323 1
Tl1 Tl 0.221 0.000 0.000 1
Si1 Si 0.000 0.119 0.621 1
```

Most intense lines, 10° ≤ 2θ ≤ 90°, sorted by position:
(0 2 1), d = 3.421 Å, 2θ 26.05, I = 18
(1 1 2), d = 3.351 Å, 2θ 26.60, I = 19
(3 1 2), d = 2.877 Å, 2θ 31.09, I = 19
(4 2 0), d = 2.754 Å, 2θ 32.51, I = 100
(5 1 1), d = 2.737 Å, 2θ 32.72, I = 37
(0 2 2), d = 2.707 Å, 2θ 33.09, I = 42
(4 2 1), d = 2.590 Å, 2θ 34.63, I = 25
(1 3 1), d = 2.390 Å, 2θ 37.63, I = 18
(5 3 3), d = 1.569 Å, 2θ 58.86, I = 24
(9 3 1), d = 1.425 Å, 2θ 65.50, I = 23